No. 1
Pr5YTm6: simulated X-ray powder pattern (Cu Kα (weighted mean of Kα1 and Kα2)), based on the PBE geometry in Alexandria.
Kinematic intensities with the Lorentz-polarization factor, no thermal factor.

Structure:
```
Pr5YTm6
1.0
-2.561 4.994 7.671
2.561 -4.994 7.671
2.561 4.994 -7.671
Pr Y Tm
5 1 6
Direct
0.000 0.000 0.000
0.167 0.667 0.500
0.335 0.335 0.000
0.665 0.665 0.000
0.833 0.333 0.500
0.500 0.000 0.500
0.084 0.834 0.250
0.251 0.500 0.751
0.417 0.166 0.250
0.583 0.834 0.750
0.749 0.500 0.249
0.916 0.166 0.750
```

The 12 most intense peaks (5 to 70 degrees two-theta), in order of rising 2θ:
- 2θ = 17.76°, intensity 11
- 2θ = 24.60°, intensity 11
- 2θ = 30.50°, intensity 1000
- 2θ = 35.07°, intensity 345
- 2θ = 35.96°, intensity 161
- 2θ = 50.43°, intensity 124
- 2θ = 51.08°, intensity 119
- 2θ = 51.13°, intensity 118
- 2θ = 60.05°, intensity 146
- 2θ = 60.13°, intensity 145
- 2θ = 61.29°, intensity 137
- 2θ = 63.49°, intensity 124



No. 2
Pr2Y5Tm6: simulated X-ray powder pattern (Cu Kα (weighted mean of Kα1 and Kα2)), based on the PBE geometry in Alexandria.
Kinematic intensities with the Lorentz-polarization factor, no thermal factor.

Structure:
```
Pr2Y5Tm6
1.0
11.649 0.000 0.000
0.000 20.241 0.000
0.000 0.000 3.575
Pr Y Tm
4 10 12
Direct
0.168 0.218 0.000
0.332 0.718 0.000
0.668 0.282 0.000
0.832 0.782 0.000
0.000 0.500 0.500
0.092 0.781 0.500
0.200 0.053 0.500
0.300 0.553 0.500
0.408 0.281 0.500
0.500 0.000 0.500
0.592 0.719 0.500
0.700 0.447 0.500
0.800 0.947 0.500
0.908 0.219 0.500
0.062 0.924 0.000
0.076 0.636 0.000
0.180 0.375 0.500
0.320 0.875 0.500
0.424 0.136 0.000
0.438 0.424 0.000
0.562 0.576 0.000
0.576 0.864 0.000
0.680 0.125 0.500
0.820 0.625 0.500
0.924 0.364 0.000
0.938 0.076 0.000
```

The 12 most intense peaks (5 to 70 degrees two-theta), in order of rising 2θ:
- 2θ = 27.54°, intensity 350
- 2θ = 29.31°, intensity 236
- 2θ = 31.02°, intensity 628
- 2θ = 31.59°, intensity 359
- 2θ = 31.91°, intensity 928
- 2θ = 32.24°, intensity 1000
- 2θ = 34.36°, intensity 416
- 2θ = 35.24°, intensity 229
- 2θ = 36.67°, intensity 276
- 2θ = 51.10°, intensity 209
- 2θ = 52.55°, intensity 210
- 2θ = 61.52°, intensity 323



No. 3
Pr3Y7Tm: simulated X-ray powder pattern (Cu Kα (weighted mean of Kα1 and Kα2)), based on the PBE geometry in Alexandria.
Kinematic intensities with the Lorentz-polarization factor, no thermal factor.

Structure:
```
Pr3Y7Tm
1.0
6.554 0.000 0.000
-0.601 6.718 0.000
-1.264 -1.538 8.477
Pr Y Tm
3 7 1
Direct
0.000 0.000 0.000
0.196 0.565 0.165
0.804 0.435 0.835
0.011 0.769 0.581
0.280 0.277 0.787
0.441 0.793 0.854
0.500 0.500 0.500
0.559 0.207 0.146
0.720 0.723 0.213
0.989 0.231 0.419
0.500 0.000 0.500
```

The 12 most intense peaks (5 to 70 degrees two-theta), in order of rising 2θ:
- 2θ = 24.97°, intensity 158
- 2θ = 26.94°, intensity 234
- 2θ = 29.41°, intensity 135
- 2θ = 31.22°, intensity 992
- 2θ = 31.69°, intensity 1000
- 2θ = 32.04°, intensity 845
- 2θ = 32.15°, intensity 229
- 2θ = 32.30°, intensity 148
- 2θ = 32.47°, intensity 168
- 2θ = 32.62°, intensity 282
- 2θ = 34.37°, intensity 195
- 2θ = 57.20°, intensity 284



No. 4
PrY3Tm7: simulated X-ray powder pattern (Cu Kα (weighted mean of Kα1 and Kα2)), based on the PBE geometry in Alexandria.
Kinematic intensities with the Lorentz-polarization factor, no thermal factor.

Structure:
```
PrY3Tm7
1.0
6.997 0.000 0.000
-3.499 6.060 0.000
0.000 0.000 8.596
Pr Y Tm
1 3 7
Direct
0.000 0.000 0.000
0.335 0.167 0.660
0.833 0.167 0.660
0.833 0.665 0.660
0.166 0.332 0.327
0.166 0.834 0.327
0.501 0.002 0.000
0.501 0.499 0.000
0.667 0.333 0.326
0.668 0.834 0.327
0.998 0.499 0.000
```

The 12 most intense peaks (5 to 70 degrees two-theta), in order of rising 2θ:
- 2θ = 10.29°, intensity 200
- 2θ = 20.67°, intensity 29
- 2θ = 29.48°, intensity 49
- 2θ = 31.28°, intensity 1000
- 2θ = 36.28°, intensity 522
- 2θ = 43.47°, intensity 37
- 2θ = 52.18°, intensity 177
- 2θ = 52.30°, intensity 171
- 2θ = 62.07°, intensity 112
- 2θ = 62.19°, intensity 308
- 2θ = 65.11°, intensity 29
- 2θ = 65.31°, intensity 94



No. 5
PrY4Tm8: simulated X-ray powder pattern (Cu Kα (weighted mean of Kα1 and Kα2)), based on the PBE geometry in Alexandria.
Kinematic intensities with the Lorentz-polarization factor, no thermal factor.

Structure:
```
PrY4Tm8
1.0
3.642 2.103 8.902
-3.642 2.103 8.902
0.000 -4.206 8.902
Pr Y Tm
1 4 8
Direct
0.000 0.000 0.000
0.000 0.000 0.500
0.000 0.500 0.000
0.500 0.000 0.000
0.500 0.500 0.500
0.251 0.251 0.690
0.251 0.690 0.251
0.281 0.281 0.281
0.310 0.749 0.749
0.690 0.251 0.251
0.719 0.719 0.719
0.749 0.310 0.749
0.749 0.749 0.310
```

The 12 most intense peaks (5 to 70 degrees two-theta), in order of rising 2θ:
- 2θ = 9.94°, intensity 192
- 2θ = 29.09°, intensity 253
- 2θ = 30.12°, intensity 318
- 2θ = 31.37°, intensity 1000
- 2θ = 32.98°, intensity 386
- 2θ = 36.98°, intensity 180
- 2θ = 39.30°, intensity 232
- 2θ = 47.24°, intensity 128
- 2θ = 50.09°, intensity 302
- 2θ = 53.21°, intensity 167
- 2θ = 59.56°, intensity 215
- 2θ = 60.30°, intensity 128



No. 6
Pr12YTm5: simulated X-ray powder pattern (Cu Kα (weighted mean of Kα1 and Kα2)), based on the PBE geometry in Alexandria.
Kinematic intensities with the Lorentz-polarization factor, no thermal factor.

Structure:
```
Pr12YTm5
1.0
10.921 0.000 0.000
0.000 5.178 0.000
-0.106 0.000 10.939
Pr Y Tm
12 1 5
Direct
0.003 0.000 0.168
0.165 0.500 0.665
0.170 0.500 0.003
0.332 0.000 0.498
0.336 0.000 0.836
0.497 0.500 0.330
0.503 0.500 0.670
0.664 0.000 0.164
0.668 0.000 0.502
0.830 0.500 0.997
0.835 0.500 0.335
0.997 0.000 0.832
0.000 0.000 0.500
0.167 0.500 0.333
0.333 0.000 0.167
0.500 0.500 0.000
0.667 0.000 0.833
0.833 0.500 0.667
```

The 10 most intense peaks (5 to 70 degrees two-theta), in order of rising 2θ:
- 2θ = 8.09°, intensity 9
- 2θ = 29.99°, intensity 1000
- 2θ = 34.65°, intensity 342
- 2θ = 35.00°, intensity 165
- 2θ = 49.81°, intensity 122
- 2θ = 50.07°, intensity 240
- 2θ = 59.21°, intensity 73
- 2θ = 59.25°, intensity 218
- 2θ = 59.71°, intensity 140
- 2θ = 62.32°, intensity 124



No. 7
Pr3YTm4: simulated X-ray powder pattern (Cu Kα (weighted mean of Kα1 and Kα2)), based on the PBE geometry in Alexandria.
Kinematic intensities with the Lorentz-polarization factor, no thermal factor.

Structure:
```
Pr3YTm4
1.0
10.152 0.000 0.000
0.000 7.160 0.000
0.000 0.000 7.158
Pr Y Tm
6 2 8
Direct
0.000 0.000 0.000
0.250 0.252 0.250
0.250 0.748 0.750
0.500 0.000 0.500
0.750 0.252 0.250
0.750 0.748 0.750
0.000 0.500 0.500
0.500 0.500 0.000
0.000 0.000 0.500
0.000 0.500 0.000
0.250 0.250 0.750
0.250 0.750 0.250
0.500 0.000 0.000
0.500 0.500 0.500
0.750 0.250 0.750
0.750 0.750 0.250
```

The 11 most intense peaks (5 to 70 degrees two-theta), in order of rising 2θ:
- 2θ = 17.50°, intensity 5
- 2θ = 19.60°, intensity 21
- 2θ = 30.56°, intensity 1000
- 2θ = 31.81°, intensity 7
- 2θ = 35.43°, intensity 506
- 2θ = 40.84°, intensity 7
- 2θ = 48.35°, intensity 7
- 2θ = 50.98°, intensity 360
- 2θ = 60.53°, intensity 143
- 2θ = 60.66°, intensity 285
- 2θ = 63.61°, intensity 123



No. 8
Pr3Y3Tm2: simulated X-ray powder pattern (Cu Kα (weighted mean of Kα1 and Kα2)), based on the PBE geometry in Alexandria.
Kinematic intensities with the Lorentz-polarization factor, no thermal factor.

Structure:
```
Pr3Y3Tm2
1.0
8.275 -2.861 0.000
8.275 2.861 0.000
-2.013 0.000 5.669
Pr Y Tm
3 3 2
Direct
0.000 0.000 0.000
0.137 0.137 0.698
0.863 0.863 0.302
0.366 0.366 0.915
0.500 0.500 0.500
0.634 0.634 0.085
0.250 0.250 0.317
0.750 0.750 0.683
```

The 12 most intense peaks (5 to 70 degrees two-theta), in order of rising 2θ:
- 2θ = 11.35°, intensity 149
- 2θ = 22.26°, intensity 158
- 2θ = 29.71°, intensity 401
- 2θ = 31.16°, intensity 964
- 2θ = 31.27°, intensity 576
- 2θ = 31.84°, intensity 1000
- 2θ = 34.34°, intensity 268
- 2θ = 43.67°, intensity 289
- 2θ = 46.59°, intensity 166
- 2θ = 55.58°, intensity 186
- 2θ = 56.01°, intensity 195
- 2θ = 57.16°, intensity 244



No. 9
Pr3Y2Tm8: simulated X-ray powder pattern (Cu Kα (weighted mean of Kα1 and Kα2)), based on the PBE geometry in Alexandria.
Kinematic intensities with the Lorentz-polarization factor, no thermal factor.

Structure:
```
Pr3Y2Tm8
1.0
6.162 0.000 0.000
1.032 6.076 0.000
2.061 -0.335 11.031
Pr Y Tm
3 2 8
Direct
0.000 0.000 0.000
0.231 0.462 0.080
0.769 0.538 0.920
0.383 0.770 0.462
0.617 0.230 0.538
0.077 0.153 0.689
0.153 0.308 0.386
0.308 0.613 0.765
0.463 0.925 0.158
0.537 0.075 0.842
0.692 0.387 0.235
0.847 0.692 0.614
0.923 0.847 0.311
```

The 12 most intense peaks (5 to 70 degrees two-theta), in order of rising 2θ:
- 2θ = 16.07°, intensity 24
- 2θ = 18.17°, intensity 16
- 2θ = 22.89°, intensity 9
- 2θ = 30.77°, intensity 998
- 2θ = 30.83°, intensity 986
- 2θ = 35.72°, intensity 1000
- 2θ = 51.39°, intensity 592
- 2θ = 51.49°, intensity 117
- 2θ = 61.09°, intensity 422
- 2θ = 61.18°, intensity 418
- 2θ = 64.10°, intensity 122
- 2θ = 64.24°, intensity 120



No. 10
Pr19Y4Tm6: simulated X-ray powder pattern (Cu Kα (weighted mean of Kα1 and Kα2)), based on the PBE geometry in Alexandria.
Kinematic intensities with the Lorentz-polarization factor, no thermal factor.

Structure:
```
Pr19Y4Tm6
1.0
-6.395 6.395 6.395
6.395 -6.395 6.395
6.395 6.395 -6.395
Pr Y Tm
19 4 6
Direct
0.000 0.000 0.000
0.000 0.263 0.263
0.000 0.737 0.737
0.017 0.218 0.675
0.201 0.983 0.657
0.218 0.675 0.017
0.263 0.000 0.263
0.263 0.263 0.000
0.325 0.544 0.343
0.343 0.325 0.544
0.456 0.782 0.799
0.544 0.343 0.325
0.657 0.201 0.983
0.675 0.017 0.218
0.737 0.000 0.737
0.737 0.737 0.000
0.782 0.799 0.456
0.799 0.456 0.782
0.983 0.657 0.201
0.000 0.000 0.359
0.000 0.359 0.000
0.359 0.000 0.000
0.641 0.641 0.641
0.125 0.500 0.625
0.375 0.875 0.500
0.500 0.375 0.875
0.500 0.625 0.125
0.625 0.125 0.500
0.875 0.500 0.375
```

The 12 most intense peaks (5 to 70 degrees two-theta), in order of rising 2θ:
- 2θ = 26.07°, intensity 793
- 2θ = 27.90°, intensity 782
- 2θ = 29.63°, intensity 1000
- 2θ = 34.35°, intensity 504
- 2θ = 35.80°, intensity 997
- 2θ = 41.15°, intensity 291
- 2θ = 45.99°, intensity 286
- 2θ = 52.58°, intensity 275
- 2θ = 58.64°, intensity 378
- 2θ = 59.61°, intensity 278
- 2θ = 62.46°, intensity 226
- 2θ = 69.75°, intensity 230



No. 11
Pr5Y5Tm2: simulated X-ray powder pattern (Cu Kα (weighted mean of Kα1 and Kα2)), based on the PBE geometry in Alexandria.
Kinematic intensities with the Lorentz-polarization factor, no thermal factor.

Structure:
```
Pr5Y5Tm2
1.0
7.674 -2.556 0.000
7.674 2.556 0.000
-5.128 0.000 10.235
Pr Y Tm
5 5 2
Direct
0.000 0.000 0.000
0.083 0.083 0.750
0.166 0.166 0.500
0.834 0.834 0.500
0.917 0.917 0.250
0.248 0.248 0.247
0.333 0.333 0.999
0.500 0.500 0.500
0.667 0.667 0.001
0.752 0.752 0.753
0.417 0.417 0.751
0.583 0.583 0.249
```

The 12 most intense peaks (5 to 70 degrees two-theta), in order of rising 2θ:
- 2θ = 11.88°, intensity 21
- 2θ = 12.90°, intensity 13
- 2θ = 16.32°, intensity 7
- 2θ = 19.19°, intensity 11
- 2θ = 21.68°, intensity 8
- 2θ = 23.37°, intensity 13
- 2θ = 30.26°, intensity 1000
- 2θ = 35.08°, intensity 505
- 2θ = 37.18°, intensity 7
- 2θ = 50.46°, intensity 357
- 2θ = 59.98°, intensity 422
- 2θ = 62.94°, intensity 121



No. 12
Pr5Y8Tm: simulated X-ray powder pattern (Cu Kα (weighted mean of Kα1 and Kα2)), based on the PBE geometry in Alexandria.
Kinematic intensities with the Lorentz-polarization factor, no thermal factor.

Structure:
```
Pr5Y8Tm
1.0
6.507 -5.136 0.000
6.507 5.136 0.000
-6.235 0.000 7.207
Pr Y Tm
5 8 1
Direct
0.000 0.000 0.000
0.203 0.376 0.665
0.475 0.325 0.125
0.624 0.797 0.335
0.675 0.525 0.875
0.147 0.647 0.080
0.353 0.853 0.920
0.420 0.210 0.393
0.573 0.072 0.760
0.790 0.580 0.607
0.850 0.014 0.265
0.928 0.427 0.240
0.986 0.150 0.735
0.316 0.684 0.500
```

The 12 most intense peaks (5 to 70 degrees two-theta), in order of rising 2θ:
- 2θ = 21.27°, intensity 330
- 2θ = 27.58°, intensity 401
- 2θ = 27.70°, intensity 342
- 2θ = 28.56°, intensity 343
- 2θ = 28.77°, intensity 350
- 2θ = 29.58°, intensity 688
- 2θ = 29.72°, intensity 481
- 2θ = 32.60°, intensity 277
- 2θ = 32.71°, intensity 1000
- 2θ = 32.97°, intensity 457
- 2θ = 33.25°, intensity 251
- 2θ = 34.08°, intensity 658



Q: Number 12 is which compound?
A: Pr5Y8Tm



Please write out number 1 again, unchanged.
Pr5YTm6: simulated X-ray powder pattern (Cu Kα (weighted mean of Kα1 and Kα2)), based on the PBE geometry in Alexandria.
Kinematic intensities with the Lorentz-polarization factor, no thermal factor.

Structure:
```
Pr5YTm6
1.0
-2.561 4.994 7.671
2.561 -4.994 7.671
2.561 4.994 -7.671
Pr Y Tm
5 1 6
Direct
0.000 0.000 0.000
0.167 0.667 0.500
0.335 0.335 0.000
0.665 0.665 0.000
0.833 0.333 0.500
0.500 0.000 0.500
0.084 0.834 0.250
0.251 0.500 0.751
0.417 0.166 0.250
0.583 0.834 0.750
0.749 0.500 0.249
0.916 0.166 0.750
```

The 12 most intense peaks (5 to 70 degrees two-theta), in order of rising 2θ:
- 2θ = 17.76°, intensity 11
- 2θ = 24.60°, intensity 11
- 2θ = 30.50°, intensity 1000
- 2θ = 35.07°, intensity 345
- 2θ = 35.96°, intensity 161
- 2θ = 50.43°, intensity 124
- 2θ = 51.08°, intensity 119
- 2θ = 51.13°, intensity 118
- 2θ = 60.05°, intensity 146
- 2θ = 60.13°, intensity 145
- 2θ = 61.29°, intensity 137
- 2θ = 63.49°, intensity 124



What did the seventh record say?
Pr3YTm4: simulated X-ray powder pattern (Cu Kα (weighted mean of Kα1 and Kα2)), based on the PBE geometry in Alexandria.
Kinematic intensities with the Lorentz-polarization factor, no thermal factor.

Structure:
```
Pr3YTm4
1.0
10.152 0.000 0.000
0.000 7.160 0.000
0.000 0.000 7.158
Pr Y Tm
6 2 8
Direct
0.000 0.000 0.000
0.250 0.252 0.250
0.250 0.748 0.750
0.500 0.000 0.500
0.750 0.252 0.250
0.750 0.748 0.750
0.000 0.500 0.500
0.500 0.500 0.000
0.000 0.000 0.500
0.000 0.500 0.000
0.250 0.250 0.750
0.250 0.750 0.250
0.500 0.000 0.000
0.500 0.500 0.500
0.750 0.250 0.750
0.750 0.750 0.250
```

The 11 most intense peaks (5 to 70 degrees two-theta), in order of rising 2θ:
- 2θ = 17.50°, intensity 5
- 2θ = 19.60°, intensity 21
- 2θ = 30.56°, intensity 1000
- 2θ = 31.81°, intensity 7
- 2θ = 35.43°, intensity 506
- 2θ = 40.84°, intensity 7
- 2θ = 48.35°, intensity 7
- 2θ = 50.98°, intensity 360
- 2θ = 60.53°, intensity 143
- 2θ = 60.66°, intensity 285
- 2θ = 63.61°, intensity 123